Record 1
Structure and simulated powder diffraction line list of BaCdGe2 (a cell relaxed with GGA-PBE; λ = 1.5418 Å (Cu Kα)).
Intensities are scaled so that the largest is 100.

a b c (Å): 15.340 4.702 11.972
angles (deg): 90.00 90.00 90.00
Space group Pnma (No. 62)
Asymmetric unit:
Ba (0.054, 0.250, 0.248) [4 per cell]
Ba (0.199, 0.750, 0.980) [4 per cell]
Cd (0.059, 0.250, 0.557) [4 per cell]
Cd (0.197, 0.750, 0.681) [4 per cell]
Ge (0.038, 0.250, 0.975) [4 per cell]
Ge (0.109, 0.250, 0.784) [4 per cell]
Ge (0.131, 0.750, 0.460) [4 per cell]
Ge (0.218, 0.750, 0.274) [4 per cell]

Top 10 peaks for 2θ = 5–70°, in order of falling intensity:
| 2θ (°) | d/Å | I/Imax | hkl |
| --- | --- | --- | --- |
| 30.07 | 2.972 | 100 | 4 1 0 |
| 38.28 | 2.351 | 39 | 0 2 0 |
| 31.64 | 2.828 | 29 | 2 1 3 |
| 29.94 | 2.985 | 29 | 1 1 3 |
| 29.85 | 2.993 | 26 | 0 0 4 |
| 42.87 | 2.109 | 25 | 4 1 4 |
| 36.96 | 2.432 | 19 | 5 0 3 |
| 41.97 | 2.153 | 16 | 6 0 3 |
| 58.09 | 1.588 | 15 | 6 2 3 |
| 58.69 | 1.573 | 13 | 2 1 7 |



Record 2
Structure and simulated powder diffraction line list of Cs2AgSb3Pb4 (a cell relaxed with GGA-PBE; λ = 1.5418 Å (Cu Kα)).
Intensities are scaled so that the largest is 100.

a b c (Å): 5.452 5.452 12.773
angles (deg): 90.00 90.00 90.00
Space group P-4m2 (No. 115)
Asymmetric unit:
Cs (0.000, 0.500, 0.238) [2 per cell]
Ag (0.500, 0.500, 0.000) [1 per cell]
Sb (0.000, 0.000, 0.000) [1 per cell]
Sb (0.000, 0.500, 0.638) [2 per cell]
Pb (0.000, 0.000, 0.500) [1 per cell]
Pb (0.000, 0.500, 0.887) [2 per cell]
Pb (0.500, 0.500, 0.500) [1 per cell]

Top 10 peaks for 2θ = 5–70°, in order of falling intensity:
| 2θ (°) | d/Å | I/Imax | hkl |
| --- | --- | --- | --- |
| 27.02 | 3.300 | 100 | 1 1 2 |
| 32.86 | 2.726 | 94 | 2 0 0 |
| 26.56 | 3.356 | 70 | 1 0 3 |
| 36.54 | 2.459 | 61 | 1 1 4 |
| 42.74 | 2.116 | 39 | 2 1 3 |
| 47.15 | 1.928 | 34 | 2 2 0 |
| 61.09 | 1.517 | 30 | 3 1 4 |
| 55.18 | 1.664 | 27 | 3 1 2 |
| 48.87 | 1.864 | 26 | 1 1 6 |
| 13.87 | 6.386 | 24 | 0 0 2 |



Record 3
Structure and simulated powder diffraction line list of Tb2InGaGe (a cell relaxed with GGA-PBE; λ = 1.5418 Å (Cu Kα)).
Intensities are scaled so that the largest is 100.

a b c (Å): 4.306 8.897 6.140
angles (deg): 90.00 90.00 90.00
Space group Pmmn (No. 59, origin choice 2)
Asymmetric unit:
Tb (0.250, 0.038, 0.247) [4 per cell]
In (0.250, 0.250, 0.738) [2 per cell]
Ga (0.250, 0.750, 0.545) [2 per cell]
Ge (0.250, 0.750, 0.953) [2 per cell]

Top 10 peaks for 2θ = 5–70°, in order of falling intensity:
| 2θ (°) | d/Å | I/Imax | hkl |
| --- | --- | --- | --- |
| 32.40 | 2.763 | 100 | 1 2 1 |
| 37.37 | 2.407 | 35 | 1 1 2 |
| 41.96 | 2.153 | 22 | 2 0 0 |
| 64.25 | 1.450 | 21 | 1 5 2 |
| 33.56 | 2.670 | 19 | 0 3 1 |
| 35.53 | 2.527 | 17 | 0 2 2 |
| 29.09 | 3.070 | 16 | 0 0 2 |
| 40.56 | 2.224 | 14 | 0 4 0 |
| 53.68 | 1.707 | 13 | 1 2 3 |
| 25.26 | 3.526 | 12 | 1 0 1 |



Record 4
Structure and simulated powder diffraction line list of Tl6SnPb (a cell relaxed with GGA-PBE; λ = 1.5418 Å (Cu Kα)).
Intensities are scaled so that the largest is 100.

a b c (Å): 4.955 4.955 9.887
angles (deg): 90.00 90.00 90.00
Space group P4/mmm (No. 123)
Asymmetric unit:
Tl (0.000, 0.000, 0.000) [1 per cell]
Tl (0.000, 0.000, 0.500) [1 per cell]
Tl (0.000, 0.500, 0.246) [4 per cell]
Sn (0.500, 0.500, 0.000) [1 per cell]
Pb (0.500, 0.500, 0.500) [1 per cell]

Top 10 peaks for 2θ = 5–70°, in order of falling intensity:
| 2θ (°) | d/Å | I/Imax | hkl |
| --- | --- | --- | --- |
| 31.29 | 2.859 | 100 | 1 1 2 |
| 36.29 | 2.476 | 51 | 2 0 0 |
| 52.26 | 1.750 | 36 | 2 2 0 |
| 62.15 | 1.494 | 29 | 3 1 2 |
| 62.26 | 1.491 | 14 | 1 1 6 |
| 65.28 | 1.429 | 13 | 2 2 4 |
| 27.02 | 3.300 | 1 | 0 0 3 |
| 20.04 | 4.430 | 1 | 1 0 1 |
| 17.92 | 4.951 | 1 | 1 0 0 |
| 8.94 | 9.887 | 1 | 0 0 1 |



Record 5
Structure and simulated powder diffraction line list of Lu2Ga9Rh3 (a cell relaxed with GGA-PBE; λ = 1.5418 Å (Cu Kα)).
Intensities are scaled so that the largest is 100.

a b c (Å): 13.004 7.540 9.471
angles (deg): 90.00 90.00 90.00
Space group Cmcm (No. 63)
Asymmetric unit:
Lu (0.164, 0.166, 0.250) [8 per cell]
Ga (0.000, 0.126, 0.750) [4 per cell]
Ga (0.000, 0.332, 0.068) [8 per cell]
Ga (0.105, 0.444, 0.750) [8 per cell]
Ga (0.168, 0.167, 0.582) [16 per cell]
Rh (0.000, 0.000, 0.000) [4 per cell]
Rh (0.172, 0.500, 0.000) [8 per cell]

Top 10 peaks for 2θ = 5–70°, in order of falling intensity:
| 2θ (°) | d/Å | I/Imax | hkl |
| --- | --- | --- | --- |
| 37.18 | 2.418 | 100 | 3 1 3 |
| 41.53 | 2.174 | 57 | 3 3 0 |
| 41.67 | 2.167 | 28 | 6 0 0 |
| 30.35 | 2.945 | 23 | 3 1 2 |
| 38.00 | 2.368 | 17 | 0 0 4 |
| 37.74 | 2.384 | 16 | 4 2 1 |
| 63.96 | 1.456 | 14 | 3 1 6 |
| 45.25 | 2.004 | 12 | 0 2 4 |
| 25.48 | 3.496 | 12 | 3 1 1 |
| 57.04 | 1.615 | 11 | 6 2 3 |



Record 6
Structure and simulated powder diffraction line list of Ba6Co25S27 (a cell relaxed with GGA-PBE; λ = 1.5418 Å (Cu Kα)).
Intensities are scaled so that the largest is 100.

a b c (Å): 9.985 9.985 9.985
angles (deg): 90.00 90.00 90.00
Space group Pm-3m (No. 221)
Asymmetric unit:
Ba (0.000, 0.000, 0.306) [6 per cell]
Co (0.130, 0.371, 0.371) [24 per cell]
Co (0.500, 0.500, 0.500) [1 per cell]
S (0.000, 0.000, 0.000) [1 per cell]
S (0.000, 0.255, 0.500) [12 per cell]
S (0.239, 0.239, 0.239) [8 per cell]
S (0.261, 0.500, 0.500) [6 per cell]

Top 10 peaks for 2θ = 5–70°, in order of falling intensity:
| 2θ (°) | d/Å | I/Imax | hkl |
| --- | --- | --- | --- |
| 51.80 | 1.765 | 100 | 4 4 0 |
| 31.03 | 2.882 | 76 | 2 2 2 |
| 28.26 | 3.157 | 72 | 3 1 0 |
| 26.79 | 3.328 | 64 | 3 0 0 |
| 39.33 | 2.291 | 55 | 3 3 1 |
| 29.68 | 3.010 | 37 | 3 1 1 |
| 47.31 | 1.922 | 29 | 5 1 1 |
| 62.39 | 1.488 | 18 | 6 3 0 |
| 53.51 | 1.712 | 17 | 4 3 3 |
| 61.62 | 1.505 | 15 | 6 2 2 |



Record 7
Structure and simulated powder diffraction line list of LiCI (a cell relaxed with GGA-PBE; λ = 1.5418 Å (Cu Kα)).
Intensities are scaled so that the largest is 100.

a b c (Å): 7.219 9.014 7.771
angles (deg): 90.00 90.00 90.00
Space group Cmce (No. 64)
Asymmetric unit:
Li (0.250, 0.032, 0.250) [8 per cell]
C (0.000, 0.046, 0.062) [8 per cell]
I (0.000, 0.166, 0.533) [8 per cell]

Top 10 peaks for 2θ = 5–70°, in order of falling intensity:
| 2θ (°) | d/Å | I/Imax | hkl |
| --- | --- | --- | --- |
| 34.32 | 2.613 | 100 | 1 3 1 |
| 19.46 | 4.562 | 64 | 1 1 1 |
| 22.88 | 3.886 | 63 | 0 0 2 |
| 24.66 | 3.610 | 62 | 2 0 0 |
| 33.89 | 2.645 | 53 | 2 0 2 |
| 49.95 | 1.826 | 33 | 3 3 1 |
| 48.06 | 1.893 | 25 | 1 3 3 |
| 27.89 | 3.199 | 23 | 1 1 2 |
| 49.63 | 1.837 | 14 | 1 1 4 |
| 19.70 | 4.507 | 13 | 0 2 0 |



Record 8
Structure and simulated powder diffraction line list of Ba2Cd5Hg3 (a cell relaxed with GGA-PBE; λ = 1.5418 Å (Cu Kα)).
Intensities are scaled so that the largest is 100.

a b c (Å): 12.831 13.590 6.749
angles (deg): 90.00 90.00 90.00
Space group Ibam (No. 72)
Asymmetric unit:
Ba (0.240, 0.124, 0.000) [8 per cell]
Cd (0.000, 0.268, 0.250) [8 per cell]
Cd (0.000, 0.500, 0.250) [4 per cell]
Cd (0.124, 0.135, 0.500) [8 per cell]
Hg (0.000, 0.000, 0.250) [4 per cell]
Hg (0.150, 0.383, 0.000) [8 per cell]

Top 10 peaks for 2θ = 5–70°, in order of falling intensity:
| 2θ (°) | d/Å | I/Imax | hkl |
| --- | --- | --- | --- |
| 37.57 | 2.394 | 100 | 0 4 2 |
| 29.92 | 2.986 | 81 | 2 0 2 |
| 29.76 | 3.002 | 77 | 2 4 0 |
| 27.97 | 3.190 | 66 | 3 2 1 |
| 39.86 | 2.262 | 57 | 5 2 1 |
| 38.73 | 2.325 | 34 | 4 0 2 |
| 38.60 | 2.332 | 31 | 4 4 0 |
| 19.79 | 4.486 | 24 | 1 2 1 |
| 47.36 | 1.919 | 22 | 3 6 1 |
| 56.02 | 1.642 | 21 | 5 2 3 |